(1)
The following is a computed PXRD pattern of Rb2PbSe2. It was derived from a DFT-relaxed cell (GGA-PBE, Alexandria), using Cu Kα.
Kinematic intensities with the Lorentz-polarization factor, no thermal factor.

Cell and atoms:
Lattice parameters (Å, degrees): 8.491 8.491 4.944 90.00 90.00 90.00
Fractional positions:
Rb 0.136 0.364 0.000
Rb 0.364 0.864 0.000
Rb 0.636 0.136 0.000
Rb 0.864 0.636 0.000
Pb 0.000 0.000 0.500
Pb 0.500 0.500 0.500
Se 0.178 0.678 0.500
Se 0.322 0.178 0.500
Se 0.678 0.822 0.500
Se 0.822 0.322 0.500

Most intense lines, 10 to 80 degrees two-theta, in order of falling intensity:
Position (°2θ), d [Å], intensity
29.69, 3.009, 100.0
23.31, 3.817, 72.4
33.37, 2.685, 64.4
50.16, 1.819, 40.9
34.97, 2.566, 29.1
36.34, 2.472, 27.3

***

(2)
The following is a computed PXRD pattern of Rb2Si2PbSe6. It was derived from a DFT-relaxed cell (GGA-PBE, Alexandria), using Cu Kα.
Kinematic intensities with the Lorentz-polarization factor, no thermal factor.

Cell and atoms:
Lattice parameters (Å, degrees): 9.457 9.457 9.457 46.64 46.64 46.64
Fractional positions:
Rb 0.220 0.220 0.220
Rb 0.780 0.780 0.780
Si 0.416 0.416 0.416
Si 0.584 0.584 0.584
Pb 0.000 0.000 0.000
Se 0.240 0.747 0.747
Se 0.253 0.253 0.760
Se 0.253 0.760 0.253
Se 0.747 0.240 0.747
Se 0.747 0.747 0.240
Se 0.760 0.253 0.253

Most intense lines, 10 to 80 degrees two-theta, in order of falling intensity:
Position (°2θ), d [Å], intensity
31.01, 2.884, 100.0
22.32, 3.983, 49.9
15.36, 5.767, 47.8
48.64, 1.872, 40.0
28.42, 3.141, 37.4
14.10, 6.280, 36.2